# 1
Simulated X-ray powder pattern of Ti3Ir2Rh for Cu Kα, from DFT lattice parameters and positions (PBE).
Lines closer than 0.1° are merged.

Structure:
abc: 4.155 12.487 6.969
angles: 90.00 90.00 90.00
Space group Cmmm (No. 65)
One atom of each set of equivalent atoms:
Ti 0.000 0.000 0.249 (multiplicity 4)
Ti 0.000 0.334 0.250 (multiplicity 8)
Ir 0.000 0.166 0.500 (multiplicity 4)
Ir 0.000 0.500 0.000 (multiplicity 2)
Ir 0.000 0.500 0.500 (multiplicity 2)
Rh 0.000 0.167 0.000 (multiplicity 4)

Largest 10 diffraction maxima, low angle first, 2θ from 10° to 90°:
| two_theta | intensity | index |
| --- | --- | --- |
| 25.6 | 24 | 0 0 2 |
| 30.4 | 31 | 1 3 0 |
| 40.1 | 100 | 1 3 2 |
| 43.5 | 40 | 2 0 0 |
| 51.2 | 16 | 2 0 2 |
| 52.5 | 11 | 0 0 4 |
| 63.2 | 13 | 2 6 0 |
| 70.5 | 18 | 2 0 4 |
| 77.5 | 14 | 1 9 2 |
| 77.6 | 14 | 3 3 2 |

***

# 2
Simulated X-ray powder pattern of NdHo2ErTh for Cu Kα, from DFT lattice parameters and positions (PBE).
Lines closer than 0.1° are merged.

Structure:
abc: 3.533 5.623 8.675
angles: 90.00 90.00 90.00
Space group Pmmm (No. 47)
One atom of each set of equivalent atoms:
Nd 0.000 0.000 0.000 (multiplicity 1)
Ho 0.000 0.500 0.322 (multiplicity 2)
Er 0.500 0.000 0.500 (multiplicity 1)
Th 0.500 0.500 0.000 (multiplicity 1)

Largest 10 diffraction maxima, low angle first, 2θ from 10° to 90°:
| two_theta | intensity | index |
| --- | --- | --- |
| 15.8 | 16 | 0 1 0 |
| 20.5 | 18 | 0 0 2 |
| 30.9 | 16 | 0 0 3 |
| 31.6 | 100 | 1 1 1 |
| 31.8 | 40 | 0 2 0 |
| 32.7 | 20 | 1 0 2 |
| 34.9 | 27 | 0 1 3 |
| 36.5 | 24 | 1 1 2 |
| 56.6 | 20 | 1 3 1 |
| 61.8 | 20 | 1 1 5 |